(1)
Theoretical PXRD pattern of TeBrO3F5 for Cu Kα (weighted mean of Kα1 and Kα2), from DFT lattice parameters and positions (GGA-PBE).
No peak broadening, texture or thermal motion is included.

Main lines, in order of rising 2θ (2θ from 10° to 90°):
2θ/deg	I_rel
16.4	63
18.6	45
21.5	100
22.4	32
24.0	12
24.1	13
26.5	28
27.9	17
34.3	18
37.1	11

```
TeBrO3F5
1.0
5.4304 0.0000 0.0000
0.0000 6.4032 0.0000
-0.1059 0.0000 20.1719
Te Br O F
4 4 12 20
direct
0.2476 0.2183 0.4093
0.2476 0.2817 0.9093
0.7524 0.7183 0.0907
0.7524 0.7817 0.5907
0.2461 0.1702 0.7411
0.2461 0.3298 0.2411
0.7539 0.6702 0.7589
0.7539 0.8298 0.2589
0.0472 0.7268 0.7581
0.0472 0.7732 0.2581
0.3829 0.1866 0.3220
0.3829 0.3134 0.8220
0.3953 0.1809 0.1898
0.3953 0.3191 0.6898
0.6047 0.6809 0.3102
0.6047 0.8191 0.8102
0.6171 0.6866 0.1780
0.6171 0.8134 0.6780
0.9528 0.2268 0.7419
0.9528 0.2732 0.2419
0.0470 0.5829 0.1164
0.0470 0.9171 0.6164
0.1050 0.0235 0.8864
0.1050 0.4765 0.3864
0.1149 0.2429 0.4940
0.1149 0.2571 0.9940
0.3836 0.5407 0.9324
0.3836 0.9593 0.4324
0.4692 0.6453 0.5599
0.4692 0.8547 0.0599
0.5308 0.1453 0.9401
0.5308 0.3547 0.4401
0.6164 0.0407 0.5676
0.6164 0.4593 0.0676
0.8851 0.7429 0.0060
0.8851 0.7571 0.5060
0.8950 0.5235 0.6136
0.8950 0.9765 0.1136
0.9530 0.0829 0.3836
0.9530 0.4171 0.8836
```


(2)
Theoretical PXRD pattern of Rb2SbBr6 for Cu Kα (weighted mean of Kα1 and Kα2), from DFT lattice parameters and positions (GGA-PBE).
No peak broadening, texture or thermal motion is included.

Main lines, in order of rising 2θ (2θ from 10° to 90°):
2θ/deg	I_rel
13.9	34
26.9	16
28.0	100
32.2	38
32.6	68
46.5	49
46.8	22
54.9	14
55.4	22
57.9	23

```
Rb2SbBr6
1.0
-5.4914 5.4914 11.1235
5.4914 -5.4914 11.1235
5.4914 5.4914 -11.1235
Rb Sb Br
8 4 24
direct
0.0018 0.2341 0.2316
0.2659 0.9975 0.7677
0.2702 0.5018 0.2677
0.4975 0.2298 0.7316
0.5025 0.7702 0.2684
0.7298 0.4982 0.7323
0.7341 0.0025 0.2323
0.9982 0.7659 0.7684
0.1250 0.3750 0.7500
0.3750 0.1250 0.2500
0.6250 0.8750 0.7500
0.8750 0.6250 0.2500
0.0049 0.2549 0.7500
0.0991 0.1326 0.4819
0.1172 0.5991 0.4666
0.1278 0.1410 0.0124
0.1507 0.6172 0.0181
0.2451 0.4951 0.7500
0.2508 0.0008 0.2500
0.3590 0.8714 0.9868
0.3674 0.3493 0.9666
0.3714 0.8846 0.5124
0.3846 0.3722 0.5132
0.4992 0.2492 0.2500
0.5008 0.7508 0.7500
0.6154 0.6278 0.4868
0.6286 0.1154 0.4876
0.6326 0.6507 0.0334
0.6410 0.1286 0.0132
0.7492 0.9992 0.7500
0.7549 0.5049 0.2500
0.8493 0.3828 0.9819
0.8722 0.8590 0.9876
0.8828 0.4009 0.5334
0.9009 0.8674 0.5181
0.9951 0.7451 0.2500
```